Li2Bi3P9O28: calculated powder diffractogram (Cu Kα (weighted mean of Kα1 and Kα2)), based on a structure optimized by DFT (PBE).
Kinematic intensities with the Lorentz-polarization factor, no thermal factor.

Structural model:
Unit cell a=7.0799 b=9.7349 c=9.9580 alpha=113.75 beta=95.30 gamma=106.57
Space group P-1 (No. 2)
Unique sites:
1 Li 0.1228 0.2287 0.3888 x2
2 Bi 0.2809 0.7372 0.4703 x2
3 Bi 0.5000 0.5000 0.0000 x1
4 P 0.0000 0.0000 0.0000 x1
5 P 0.1065 0.3667 0.1659 x2
6 P 0.2151 0.5334 0.7072 x2
7 P 0.2933 0.9745 0.2398 x2
8 P 0.3185 0.0611 0.8157 x2
9 O 0.0651 0.3658 0.5875 x2
10 O 0.0688 0.1901 0.1484 x2
11 O 0.1055 0.9394 0.1163 x2
12 O 0.1076 0.6075 0.8439 x2
13 O 0.1790 0.9272 0.6638 x2
14 O 0.1853 0.3984 0.0431 x2
15 O 0.2282 0.4687 0.3298 x2
16 O 0.2288 0.0556 0.9533 x2
17 O 0.2498 0.8372 0.2798 x2
18 O 0.2656 0.6548 0.6452 x2
19 O 0.3466 0.1405 0.3720 x2
20 O 0.3835 0.2255 0.8224 x2
21 O 0.3992 0.5211 0.7834 x2
22 O 0.4792 0.9798 0.1547 x2

Top 6 peaks for 15 to 90 degrees two-theta, in order of falling intensity:
hkl 1 -1 1, 16.1°, intensity 100; hkl -1 1 1, 18.0°, intensity 67; hkl 0 2 1, 27.4°, intensity 46; hkl 1 1 -2, 21.9°, intensity 43; hkl 0 2 -1, 19.0°, intensity 33; hkl 2 0 -1, 26.5°, intensity 31